Simulated X-ray diffraction stick pattern of Tb14ScCd for a wavelength of 1.5418 Å, from a cell relaxed with PBE.
Lines closer than 0.1° are merged.

The 12 most intense peaks (10° ≤ 2θ ≤ 80°), in order of rising 2θ:
d_spacing  Position (°2θ)  I (rel.)  hkl
4.440  20.00  1.2  1 0 2
3.513  25.35  1.1  2 2 0
2.868  31.18  100.0  2 2 2
2.494  36.02  16.9  4 0 0
2.479  36.24  33.5  0 4 0
1.758  52.02  23.7  4 4 0
1.753  52.18  11.8  0 4 4
1.502  61.76  13.9  6 2 2
1.496  62.05  27.9  2 6 2
1.434  65.04  12.0  4 4 4
1.247  76.38  1.8  8 0 0
1.240  76.92  3.7  0 8 0

a = 9.9747 Å, b = 9.9164 Å, c = 9.9159 Å
α = 90.00°, β = 90.00°, γ = 90.00°
Space group Amm2 (No. 38)
Inequivalent atoms, fractional coordinates:
Tb1 0.0000 0.0000 0.9995
Tb2 0.0000 0.0000 0.5000
Tb3 0.0000 0.2504 0.2498
Tb4 0.2543 0.0000 0.2484
Tb5 0.2551 0.2487 0.9999
Tb6 0.2559 0.0000 0.7511
Tb7 0.5000 0.2490 0.2504
Sc1 0.5000 0.0000 0.0001
Cd1 0.5000 0.0000 0.5000

=====

Simulated X-ray diffraction stick pattern of Dy4C3 for a wavelength of 1.5418 Å, from a cell relaxed with PBE.
Lines closer than 0.1° are merged.

The 12 most intense peaks (10° ≤ 2θ ≤ 80°), in order of rising 2θ:
d_spacing  Position (°2θ)  I (rel.)  hkl
3.221  27.70  33.0  2 1 1
2.789  32.09  100.0  2 2 0
2.495  36.00  67.8  3 1 0
2.108  42.89  28.0  3 2 1
1.972  46.02  7.6  4 0 0
1.682  54.56  21.9  3 3 2
1.610  57.21  13.5  4 2 2
1.547  59.77  42.5  4 3 1
1.440  64.72  26.4  5 2 1
1.353  69.47  6.8  5 3 0
1.280  74.08  8.5  6 1 1
1.217  78.59  12.5  5 4 1

a = 7.8889 Å, b = 7.8889 Å, c = 7.8889 Å
α = 90.00°, β = 90.00°, γ = 90.00°
Space group I-43d (No. 220)
Inequivalent atoms, fractional coordinates:
Dy1 0.0447 0.4553 0.5447
C1 0.0000 0.2500 0.8750

=====

Simulated X-ray diffraction stick pattern of CeGa4Ni2Pt for a wavelength of 1.5418 Å, from a cell relaxed with PBE.
Lines closer than 0.1° are merged.

The 12 most intense peaks (10° ≤ 2θ ≤ 80°), in order of rising 2θ:
d_spacing  Position (°2θ)  I (rel.)  hkl
3.483  25.58  44.5  0 1 2
3.175  28.10  19.3  1 0 4
2.453  36.63  99.2  0 1 8
2.150  42.03  34.1  1 0 10
2.083  43.45  100.0  1 1 0
2.017  44.93  27.2  0 1 11
1.588  58.10  25.6  2 0 8
1.496  62.05  10.8  0 2 10
1.263  75.26  23.5  1 2 8
1.215  78.77  10.9  2 1 10
1.210  79.14  10.0  1 1 18
1.202  79.75  16.2  3 0 0

a = 4.1654 Å, b = 4.1654 Å, c = 26.7678 Å
α = 90.00°, β = 90.00°, γ = 120.00°
Space group R-3m (No. 166, hexagonal axes)
Inequivalent atoms, fractional coordinates:
Ce1 0.0000 0.0000 0.0000
Ga1 0.0000 0.0000 0.1258
Ga2 0.0000 0.0000 0.4013
Ni1 0.0000 0.0000 0.2313
Pt1 0.0000 0.0000 0.5000

=====

Simulated X-ray diffraction stick pattern of K3InBi for a wavelength of 1.5418 Å, from a cell relaxed with PBE.
Lines closer than 0.1° are merged.

The 12 most intense peaks (10° ≤ 2θ ≤ 80°), in order of rising 2θ:
d_spacing  Position (°2θ)  I (rel.)  hkl
6.747  13.12  64.1  1 1 0
6.291  14.08  46.8  0 1 1
5.928  14.95  100.0  2 0 0
4.314  20.59  35.4  2 1 1
3.605  24.70  46.3  1 2 1
3.373  26.42  49.4  2 2 0
3.035  29.43  48.7  0 1 3
2.964  30.15  40.1  4 0 0
2.701  33.17  67.7  2 1 3
2.665  33.63  37.0  1 3 0
2.498  35.95  41.0  1 2 3
2.120  42.64  35.0  4 1 3

a = 11.8553 Å, b = 8.2049 Å, c = 9.7983 Å
α = 90.00°, β = 90.00°, γ = 90.00°
Space group Ima2 (No. 46)
Inequivalent atoms, fractional coordinates:
K1 0.0355 0.2356 0.0000
K2 0.2500 0.5116 0.7778
In1 0.2500 0.5551 0.1323
Bi1 0.2500 0.5974 0.4371

=====

Simulated X-ray diffraction stick pattern of Ac4Sb3 for a wavelength of 1.5418 Å, from a cell relaxed with PBE.
Lines closer than 0.1° are merged.

The 12 most intense peaks (10° ≤ 2θ ≤ 80°), in order of rising 2θ:
d_spacing  Position (°2θ)  I (rel.)  hkl
6.692  13.23  5.0  1 0 0
4.732  18.75  4.5  1 1 0
3.863  23.02  32.0  1 1 1
3.346  26.64  100.0  2 0 0
2.366  38.03  79.1  2 2 0
2.018  44.93  17.8  3 1 1
1.932  47.04  29.1  2 2 2
1.673  54.88  13.9  4 0 0
1.535  60.29  7.8  3 3 1
1.496  62.02  38.5  4 2 0
1.366  68.72  28.5  4 2 2
1.288  73.54  5.9  5 1 1

a = 6.6916 Å, b = 6.6916 Å, c = 6.6916 Å
α = 90.00°, β = 90.00°, γ = 90.00°
Space group Pm-3m (No. 221)
Inequivalent atoms, fractional coordinates:
Ac1 0.0000 0.0000 0.0000
Ac2 0.0000 0.5000 0.5000
Sb1 0.0000 0.0000 0.5000

=====

Simulated X-ray diffraction stick pattern of Pa6Ni6Ir for a wavelength of 1.5418 Å, from a cell relaxed with PBE.
Lines closer than 0.1° are merged.

The 12 most intense peaks (10° ≤ 2θ ≤ 80°), in order of rising 2θ:
d_spacing  Position (°2θ)  I (rel.)  hkl
3.365  26.49  24.0  0 2 2
3.351  26.60  42.7  1 1 2
3.102  28.78  28.3  0 1 3
2.645  33.89  100.0  1 3 0
2.625  34.16  49.4  2 0 0
2.472  36.34  53.9  0 0 4
2.332  38.61  52.5  1 3 2
2.318  38.85  26.2  2 0 2
2.083  43.45  24.0  0 4 2
2.070  43.74  53.2  2 2 2
1.806  50.54  39.3  1 3 4
1.399  66.90  28.0  1 3 6

a = 5.2496 Å, b = 9.1854 Å, c = 9.8876 Å
α = 90.00°, β = 90.00°, γ = 90.00°
Space group Immm (No. 71)
Inequivalent atoms, fractional coordinates:
Pa1 0.0000 0.0000 0.1980
Pa2 0.0000 0.3255 0.5000
Pa3 0.0000 0.3373 0.0000
Ni1 0.0000 0.5000 0.2549
Ni2 0.2500 0.2500 0.2500
Ir1 0.0000 0.0000 0.5000

=====

Simulated X-ray diffraction stick pattern of HfTe7SeCl6 for a wavelength of 1.5418 Å, from a cell relaxed with PBE.
Lines closer than 0.1° are merged.

The 12 most intense peaks (10° ≤ 2θ ≤ 80°), in order of rising 2θ:
d_spacing  Position (°2θ)  I (rel.)  hkl
8.176  10.82  71.9  1 1 0
6.256  14.16  61.4  0 1 2
5.578  15.89  100.0  2 0 0
5.292  16.75  60.5  1 2 0
5.026  17.64  72.9  2 1 -2
4.701  18.88  69.8  1 2 -2
3.973  22.38  66.2  1 2 2
3.952  22.50  40.5  1 2 -3
3.166  28.19  65.3  3 2 0
3.042  29.36  45.9  2 3 1
3.029  29.49  52.0  2 3 -3
2.787  32.11  47.5  4 0 0

a = 12.0087 Å, b = 12.0338 Å, c = 15.7649 Å
α = 90.00°, β = 111.70°, γ = 90.00°
Space group P2_1/c (No. 14)
Inequivalent atoms, fractional coordinates:
Hf1 0.2064 0.2121 0.1072
Te1 0.1277 0.6431 0.8093
Te2 0.1385 0.7335 0.1646
Te3 0.1960 0.6637 0.4508
Te4 0.2617 0.0002 0.8515
Te5 0.3536 0.5390 0.8666
Te6 0.3595 0.5559 0.0445
Te7 0.3610 0.6451 0.2630
Se1 0.4069 0.7328 0.5436
Cl1 0.0656 0.1332 0.5600
Cl2 0.0762 0.1287 0.1816
Cl3 0.0952 0.1133 0.9623
Cl4 0.3300 0.1974 0.7517
Cl5 0.3315 0.2023 0.5322
Cl6 0.3416 0.0491 0.1538

=====

Repeat the fourth record exactly.
Simulated X-ray diffraction stick pattern of K3InBi for a wavelength of 1.5418 Å, from a cell relaxed with PBE.
Lines closer than 0.1° are merged.

The 12 most intense peaks (10° ≤ 2θ ≤ 80°), in order of rising 2θ:
d_spacing  Position (°2θ)  I (rel.)  hkl
6.747  13.12  64.1  1 1 0
6.291  14.08  46.8  0 1 1
5.928  14.95  100.0  2 0 0
4.314  20.59  35.4  2 1 1
3.605  24.70  46.3  1 2 1
3.373  26.42  49.4  2 2 0
3.035  29.43  48.7  0 1 3
2.964  30.15  40.1  4 0 0
2.701  33.17  67.7  2 1 3
2.665  33.63  37.0  1 3 0
2.498  35.95  41.0  1 2 3
2.120  42.64  35.0  4 1 3

a = 11.8553 Å, b = 8.2049 Å, c = 9.7983 Å
α = 90.00°, β = 90.00°, γ = 90.00°
Space group Ima2 (No. 46)
Inequivalent atoms, fractional coordinates:
K1 0.0355 0.2356 0.0000
K2 0.2500 0.5116 0.7778
In1 0.2500 0.5551 0.1323
Bi1 0.2500 0.5974 0.4371

=====

Number 5 is which compound? Ac4Sb3